Structure and theoretical powder XRD pattern of LaPr2Mg3Pd2Au (a PBE-relaxed structure; Cu Kα, 1.54184 Å).

Crystal structure
```
9
Lattice="4.197 0.000 0.000 0.000 6.652 3.867 0.000 -6.652 3.867" Properties=species:S:1:pos:R:3 pbc="T T T"
La 0.000 0.000 0.000
Pr 0.000 -2.766 4.849
Pr 0.000 2.766 4.849
Mg 2.099 -1.627 2.313
Mg 2.099 1.627 2.313
Mg 2.099 0.000 5.088
Pd 2.099 -4.457 3.250
Pd 2.099 4.457 3.250
Au 0.000 0.000 3.242
```

Top 10 peaks for 2θ = 5–70°, by angle:
3.847 Å, 23.12 deg, I = 335; 3.553 Å, 25.06 deg, I = 272; 3.343 Å, 26.66 deg, I = 313; 2.839 Å, 31.52 deg, I = 626; 2.615 Å, 34.29 deg, I = 1000; 2.607 Å, 34.40 deg, I = 503; 2.229 Å, 40.47 deg, I = 275; 2.160 Å, 41.82 deg, I = 314; 2.099 Å, 43.10 deg, I = 295; 1.437 Å, 64.91 deg, I = 237